Diffraction record for LaAlCl6. The powder XRD pattern is simulated, not measured: it uses a DFT-relaxed cell (GGA-PBE, Alexandria) and Cu Ka.
Lines closer than 0.1° are merged.

Main lines, by intensity (2θ = 15–90°):
- 18.70°, rel. 100
- 31.52°, rel. 86
- 34.94°, rel. 38
- 23.86°, rel. 35
- 43.25°, rel. 25
- 47.96°, rel. 24
- 47.56°, rel. 23
- 20.29°, rel. 23
- 25.87°, rel. 23
- 32.34°, rel. 20

Cell and atoms:
a b c (Å): 6.9879 6.9879 6.4226
angles (deg): 97.10 97.10 124.67
Fractional coordinates of all 8 atoms:
La 0.0000 0.0000 0.0000
Al 0.5000 0.5000 0.5000
Cl 0.1592 0.4294 0.2864
Cl 0.2645 0.2645 0.7266
Cl 0.4294 0.1592 0.2864
Cl 0.5706 0.8408 0.7136
Cl 0.7355 0.7355 0.2734
Cl 0.8408 0.5706 0.7136

---

Diffraction record for LiAlCl2. The powder XRD pattern is simulated, not measured: it uses a DFT-relaxed cell (GGA-PBE, Alexandria) and Cu Ka.
Lines closer than 0.1° are merged.

Main lines, by intensity (2θ = 15–90°):
- 36.64°, rel. 100
- 35.19°, rel. 75
- 31.82°, rel. 59
- 28.40°, rel. 58
- 36.16°, rel. 39
- 23.35°, rel. 28
- 37.56°, rel. 24
- 25.95°, rel. 22
- 25.42°, rel. 21
- 56.18°, rel. 19

Cell and atoms:
a b c (Å): 3.8589 3.4341 7.0979
angles (deg): 90.00 99.20 90.00
Fractional coordinates of all 4 atoms:
Li 0.0000 0.0000 0.0000
Al 0.5000 0.0000 0.5000
Cl 0.0869 0.5000 0.7672
Cl 0.9131 0.5000 0.2328